This entry pairs a crystal structure of Cs3CoO4 with its calculated X-ray diffraction stick pattern. Radiation: copper Kα. Structure: the GGA+U geometry in Alexandria.

Top 6 peaks for 15° ≤ 2θ ≤ 90°, in order of rising 2θ:
| 2θ (°) | I (rel.) | hkl |
| --- | --- | --- |
| 27.1 | 88 | 0 2 2 |
| 27.3 | 100 | 2 2 0 |
| 27.7 | 33 | 0 3 1 |
| 30.0 | 70 | 2 0 2 |
| 33.5 | 25 | 2 3 0 |
| 34.3 | 23 | 0 4 0 |

Cell and atoms:
```
Cs3CoO4
1.0
8.3679 0.0000 0.0000
0.0000 10.4523 0.0000
0.0000 0.0000 8.4883
Cs Co O
12 4 16
direct
0.0263 0.0401 0.2238 Cs
0.0263 0.4599 0.2238 Cs
0.1893 0.7500 0.4248 Cs
0.3107 0.2500 0.9248 Cs
0.4737 0.5401 0.7238 Cs
0.4737 0.9599 0.7238 Cs
0.5263 0.0401 0.2762 Cs
0.5263 0.4599 0.2762 Cs
0.6893 0.7500 0.0752 Cs
0.8107 0.2500 0.5752 Cs
0.9737 0.5401 0.7762 Cs
0.9737 0.9599 0.7762 Cs
0.2295 0.7500 0.9897 Co
0.2705 0.2500 0.4897 Co
0.7295 0.7500 0.5103 Co
0.7705 0.2500 0.0103 Co
0.0429 0.7500 0.0823 O
0.1890 0.1020 0.5404 O
0.1890 0.3980 0.5404 O
0.2369 0.7500 0.7824 O
0.2631 0.2500 0.2824 O
0.3110 0.6020 0.0404 O
0.3110 0.8980 0.0404 O
0.4571 0.2500 0.5823 O
0.5429 0.7500 0.4177 O
0.6890 0.1020 0.9596 O
0.6890 0.3980 0.9596 O
0.7369 0.7500 0.7176 O
0.7631 0.2500 0.2176 O
0.8110 0.6020 0.4596 O
0.8110 0.8980 0.4596 O
0.9571 0.2500 0.9177 O
```